Record 1
# La2BeGa4Pd3
Computed PXRD pattern, copper Kα. Input: a PBE-relaxed structure.
No peak broadening, texture or thermal motion is included.

Structure:
Lattice parameters (Å, degrees): 4.3358 4.3358 10.3719 90.00 90.00 90.00
Fractional positions:
La: 0.0000 0.5000 0.2440
La: 0.5000 0.0000 0.7560
Be: 0.5000 0.5000 0.0000
Ga: 0.0000 0.0000 0.5000
Ga: 0.0000 0.5000 0.8780
Ga: 0.5000 0.0000 0.1220
Ga: 0.5000 0.5000 0.5000
Pd: 0.0000 0.0000 0.0000
Pd: 0.0000 0.5000 0.6331
Pd: 0.5000 0.0000 0.3669

Main lines, by angle (10 to 80 degrees two-theta):
2θ = 29.13°, intensity 35, (1 1 0); 2θ = 33.14°, intensity 95, (1 0 3); 2θ = 33.97°, intensity 100, (1 1 2); 2θ = 41.66°, intensity 75, (2 0 0); 2θ = 45.83°, intensity 17, (1 1 4); 2θ = 48.66°, intensity 37, (1 0 5); 2θ = 54.24°, intensity 46, (2 1 3); 2θ = 60.38°, intensity 25, (2 2 0); 2θ = 65.94°, intensity 29, (2 1 5); 2θ = 71.12°, intensity 23, (3 1 2)


Record 2
# Mg2Be2GaPd5
Computed PXRD pattern, copper Kα. Input: a PBE-relaxed structure.
No peak broadening, texture or thermal motion is included.

Structure:
Lattice parameters (Å, degrees): 9.4677 9.4677 3.1978 90.00 90.00 90.00
Fractional positions:
Mg: 0.1735 0.3265 0.0000
Mg: 0.3265 0.8265 0.0000
Mg: 0.6735 0.1735 0.0000
Mg: 0.8265 0.6735 0.0000
Be: 0.1248 0.6248 0.0000
Be: 0.3752 0.1248 0.0000
Be: 0.6248 0.8752 0.0000
Be: 0.8752 0.3752 0.0000
Ga: 0.0000 0.0000 0.0000
Ga: 0.5000 0.5000 0.0000
Pd: 0.0000 0.5000 0.5000
Pd: 0.0734 0.7930 0.5000
Pd: 0.2070 0.0734 0.5000
Pd: 0.2930 0.5734 0.5000
Pd: 0.4266 0.2930 0.5000
Pd: 0.5000 0.0000 0.5000
Pd: 0.5734 0.7070 0.5000
Pd: 0.7070 0.4266 0.5000
Pd: 0.7930 0.9266 0.5000
Pd: 0.9266 0.2070 0.5000

Main lines, by angle (10 to 80 degrees two-theta):
2θ = 27.90°, intensity 51, (0 0 1); 2θ = 34.15°, intensity 34, (3 2 0); 2θ = 35.17°, intensity 29, (2 1 1); 2θ = 38.95°, intensity 22, (2 2 1); 2θ = 39.23°, intensity 54, (4 1 0); 2θ = 41.31°, intensity 100, (3 1 1); 2θ = 42.71°, intensity 36, (4 2 0); 2θ = 44.65°, intensity 40, (3 2 1); 2θ = 48.83°, intensity 31, (4 1 1); 2θ = 77.25°, intensity 35, (5 5 1)


Record 3
# MnBe3Ga
Computed PXRD pattern, copper Kα. Input: a PBE-relaxed structure.
No peak broadening, texture or thermal motion is included.

Structure:
Lattice parameters (Å, degrees): 4.1541 4.1541 4.1541 90.00 90.00 90.00
Fractional positions:
Mn: 0.0000 0.0000 0.0000
Be: 0.0000 0.0000 0.5000
Be: 0.0000 0.5000 0.0000
Be: 0.5000 0.0000 0.0000
Ga: 0.5000 0.5000 0.5000

Main lines, by angle (10 to 80 degrees two-theta):
2θ = 21.39°, intensity 1, (1 0 0); 2θ = 30.43°, intensity 100, (1 1 0); 2θ = 37.50°, intensity 3, (1 1 1); 2θ = 43.57°, intensity 26, (2 0 0); 2θ = 49.03°, intensity 1, (2 1 0); 2θ = 54.07°, intensity 37, (2 1 1); 2θ = 63.32°, intensity 16, (2 2 0); 2θ = 71.87°, intensity 15, (3 1 0); 2θ = 75.98°, intensity 1, (3 1 1)